Theoretical X-ray powder pattern
Compound: ScZnMoO4
Radiation: a wavelength of 1.5418 Å
Structure: a DFT-relaxed cell (PBE+U, Alexandria)

Structural model:
```
ScZnMoO4
1.0
-3.1377 3.1639 4.4101
3.1377 -3.1639 4.4101
3.1377 3.1639 -4.4101
Sc Zn Mo O
2 2 2 8
Cartesian
-1.5688 1.5820 2.2050
1.5688 1.5820 2.2050
3.1377 1.5820 -1.1282
0.0000 1.5820 5.5382
0.0000 0.0000 0.0000
0.0000 3.1639 0.0000
1.4842 1.5820 0.0698
1.6535 -1.5820 4.4798
0.0000 0.1330 2.1685
3.1377 0.1330 2.2415
0.0000 3.0309 2.1685
3.1377 3.0309 2.2415
1.4842 4.7459 -0.0698
1.6535 1.5820 4.3403
```

Main lines, low angle first (10° ≤ 2θ ≤ 90°):
| two_theta | Rel. int. |
| --- | --- |
| 17.34 | 34 |
| 28.46 | 65 |
| 33.30 | 100 |
| 33.46 | 41 |
| 33.65 | 72 |
| 40.49 | 24 |
| 50.42 | 18 |
| 53.53 | 31 |
| 53.98 | 19 |
| 58.92 | 76 |